No. 1
# CeDy5Y12
Simulated powder X-ray diffraction pattern, λ = 1.5418 Å (Cu Kα). Input: DFT lattice parameters and positions (GGA-PBE).
Lines closer than 0.1° are merged.

Principal peaks in the range 2θ = 10–80°, by angle:
11.7 deg, d = 7.563 Å, intensity 9; 25.7 deg, d = 3.473 Å, intensity 6; 30.7 deg, d = 2.912 Å, intensity 100; 35.6 deg, d = 2.522 Å, intensity 50; 37.6 deg, d = 2.393 Å, intensity 2; 39.0 deg, d = 2.307 Å, intensity 2; 51.2 deg, d = 1.783 Å, intensity 35; 60.9 deg, d = 1.521 Å, intensity 41; 63.9 deg, d = 1.456 Å, intensity 12; 75.4 deg, d = 1.261 Å, intensity 5

```
CeDy5Y12
1.0
7.563 -7.571 0.000
7.563 7.571 0.000
0.000 0.000 5.044
Ce Dy Y
1 5 12
direct
0.000 0.000 0.000
0.166 0.834 0.500
0.333 0.667 0.000
0.500 0.500 0.500
0.667 0.333 0.000
0.834 0.166 0.500
0.001 0.667 0.000
0.165 0.165 0.500
0.169 0.501 0.500
0.333 0.999 0.000
0.334 0.334 0.000
0.499 0.831 0.500
0.501 0.169 0.500
0.666 0.666 0.000
0.667 0.001 0.000
0.831 0.499 0.500
0.835 0.835 0.500
0.999 0.333 0.000
```

=====

No. 2
# Cs2SmBr5
Simulated powder X-ray diffraction pattern, λ = 1.5418 Å (Cu Kα). Input: DFT lattice parameters and positions (GGA-PBE).
Lines closer than 0.1° are merged.

Principal peaks in the range 2θ = 10–80°, by angle:
19.7 deg, d = 4.509 Å, intensity 31; 20.3 deg, d = 4.366 Å, intensity 45; 22.1 deg, d = 4.023 Å, intensity 27; 26.2 deg, d = 3.407 Å, intensity 28; 27.8 deg, d = 3.206 Å, intensity 30; 28.6 deg, d = 3.117 Å, intensity 100; 28.9 deg, d = 3.088 Å, intensity 35; 30.2 deg, d = 2.961 Å, intensity 64; 32.6 deg, d = 2.744 Å, intensity 35; 44.8 deg, d = 2.021 Å, intensity 39

```
Cs2SmBr5
1.0
10.355 0.000 0.000
0.000 8.047 0.000
0.000 0.000 16.331
Cs Sm Br
8 4 20
direct
0.037 0.250 0.205
0.175 0.750 0.413
0.325 0.250 0.913
0.463 0.750 0.705
0.537 0.250 0.295
0.675 0.750 0.087
0.825 0.250 0.587
0.963 0.750 0.795
0.188 0.750 0.063
0.312 0.250 0.563
0.688 0.750 0.437
0.812 0.250 0.937
0.000 0.000 0.000
0.000 0.500 0.000
0.029 0.750 0.203
0.153 0.509 0.614
0.153 0.991 0.614
0.219 0.250 0.397
0.281 0.750 0.897
0.347 0.009 0.114
0.347 0.491 0.114
0.471 0.250 0.703
0.500 0.000 0.500
0.500 0.500 0.500
0.529 0.750 0.297
0.653 0.509 0.886
0.653 0.991 0.886
0.719 0.250 0.103
0.781 0.750 0.603
0.847 0.009 0.386
0.847 0.491 0.386
0.971 0.250 0.797
```

=====

No. 3
# Tm3TlO6
Simulated powder X-ray diffraction pattern, λ = 1.5418 Å (Cu Kα). Input: DFT lattice parameters and positions (GGA-PBE).
Lines closer than 0.1° are merged.

Principal peaks in the range 2θ = 10–80°, by angle:
23.8 deg, d = 3.732 Å, intensity 37; 26.8 deg, d = 3.324 Å, intensity 44; 29.7 deg, d = 3.008 Å, intensity 96; 30.4 deg, d = 2.940 Å, intensity 40; 32.5 deg, d = 2.754 Å, intensity 24; 32.8 deg, d = 2.727 Å, intensity 100; 33.8 deg, d = 2.651 Å, intensity 22; 43.4 deg, d = 2.084 Å, intensity 35; 50.6 deg, d = 1.803 Å, intensity 41; 52.7 deg, d = 1.738 Å, intensity 25

```
Tm3TlO6
1.0
4.771 2.754 3.732
-4.771 2.754 3.732
0.000 -5.509 3.732
Tm Tl O
6 2 12
direct
0.057 0.567 0.752
0.248 0.943 0.433
0.433 0.248 0.943
0.567 0.752 0.057
0.752 0.057 0.567
0.943 0.433 0.248
0.000 0.000 0.000
0.500 0.500 0.500
0.025 0.893 0.675
0.107 0.325 0.975
0.178 0.602 0.426
0.325 0.975 0.107
0.398 0.574 0.822
0.426 0.178 0.602
0.574 0.822 0.398
0.602 0.426 0.178
0.675 0.025 0.893
0.822 0.398 0.574
0.893 0.675 0.025
0.975 0.107 0.325
```

=====

Please write out number 2 again, unchanged.
# Cs2SmBr5
Simulated powder X-ray diffraction pattern, λ = 1.5418 Å (Cu Kα). Input: DFT lattice parameters and positions (GGA-PBE).
Lines closer than 0.1° are merged.

Principal peaks in the range 2θ = 10–80°, by angle:
19.7 deg, d = 4.509 Å, intensity 31; 20.3 deg, d = 4.366 Å, intensity 45; 22.1 deg, d = 4.023 Å, intensity 27; 26.2 deg, d = 3.407 Å, intensity 28; 27.8 deg, d = 3.206 Å, intensity 30; 28.6 deg, d = 3.117 Å, intensity 100; 28.9 deg, d = 3.088 Å, intensity 35; 30.2 deg, d = 2.961 Å, intensity 64; 32.6 deg, d = 2.744 Å, intensity 35; 44.8 deg, d = 2.021 Å, intensity 39

```
Cs2SmBr5
1.0
10.355 0.000 0.000
0.000 8.047 0.000
0.000 0.000 16.331
Cs Sm Br
8 4 20
direct
0.037 0.250 0.205
0.175 0.750 0.413
0.325 0.250 0.913
0.463 0.750 0.705
0.537 0.250 0.295
0.675 0.750 0.087
0.825 0.250 0.587
0.963 0.750 0.795
0.188 0.750 0.063
0.312 0.250 0.563
0.688 0.750 0.437
0.812 0.250 0.937
0.000 0.000 0.000
0.000 0.500 0.000
0.029 0.750 0.203
0.153 0.509 0.614
0.153 0.991 0.614
0.219 0.250 0.397
0.281 0.750 0.897
0.347 0.009 0.114
0.347 0.491 0.114
0.471 0.250 0.703
0.500 0.000 0.500
0.500 0.500 0.500
0.529 0.750 0.297
0.653 0.509 0.886
0.653 0.991 0.886
0.719 0.250 0.103
0.781 0.750 0.603
0.847 0.009 0.386
0.847 0.491 0.386
0.971 0.250 0.797
```

=====

Q: Number 3 is which compound?
A: Tm3TlO6